Li3FeNi4O10: theoretical X-ray powder pattern (Cu Kα), based on DFT lattice parameters and positions (PBE+U).

Largest 8 diffraction maxima, by intensity, 2θ from 10° to 90°:
d [Å]  I (rel.)  h k l
4.843  100  0 0 5
2.052  37  1 1 -7
2.453  23  1 1 -2
2.076  19  2 0 6
2.488  13  2 0 1
1.450  10  3 1 -1
1.468  10  1 1 13
1.593  10  1 1 -12

Atomic structure:
a = 5.048 Å, b = 2.862 Å, c = 24.268 Å
α = 90.00°, β = 93.79°, γ = 90.00°
Fractional coordinates of all 36 atoms:
Li (0.000, 0.000, 0.000)
Li (0.100, 0.500, 0.801)
Li (0.297, 0.500, 0.398)
Li (0.500, 0.500, 0.000)
Li (0.703, 0.500, 0.602)
Li (0.900, 0.500, 0.199)
Fe (0.000, 0.500, 0.500)
Fe (0.500, 0.000, 0.500)
Ni (0.100, 0.000, 0.299)
Ni (0.204, 0.500, 0.102)
Ni (0.298, 0.000, 0.902)
Ni (0.400, 0.500, 0.701)
Ni (0.600, 0.500, 0.299)
Ni (0.702, 0.000, 0.098)
Ni (0.796, 0.500, 0.898)
Ni (0.900, 0.000, 0.701)
O (0.021, 0.000, 0.141)
O (0.025, 0.500, 0.659)
O (0.165, 0.000, 0.454)
O (0.166, 0.500, 0.946)
O (0.224, 0.500, 0.257)
O (0.232, 0.000, 0.741)
O (0.356, 0.500, 0.544)
O (0.365, 0.000, 0.056)
O (0.419, 0.500, 0.860)
O (0.430, 0.000, 0.339)
O (0.570, 0.000, 0.661)
O (0.581, 0.500, 0.140)
O (0.635, 0.000, 0.944)
O (0.644, 0.500, 0.456)
O (0.768, 0.000, 0.259)
O (0.776, 0.500, 0.743)
O (0.834, 0.500, 0.054)
O (0.835, 0.000, 0.546)
O (0.975, 0.500, 0.341)
O (0.979, 0.000, 0.859)